The following is a theoretical X-ray powder pattern of RbSr2Nb3O10. It was derived from a crystal structure in Alexandria, relaxed with PBE, using λ = 1.5418 Å (Cu Kα).

Cell and atoms:
Cell: 3.988 3.988 15.502 Å, 90.00 90.00 90.00°
Space group P4/mmm (No. 123)
Asymmetric unit:
Rb  0.000  0.000  0.000 (multiplicity 1)
Sr  0.000  0.000  0.354 (multiplicity 2)
Nb  0.500  0.500  0.215 (multiplicity 2)
Nb  0.500  0.500  0.500 (multiplicity 1)
O  0.000  0.500  0.241 (multiplicity 4)
O  0.000  0.500  0.500 (multiplicity 2)
O  0.500  0.500  0.099 (multiplicity 2)
O  0.500  0.500  0.372 (multiplicity 2)

Main lines, sorted by position (10 to 90 degrees two-theta):
| Position (°2θ) | Rel. int. |
| --- | --- |
| 28.27 | 100 |
| 31.73 | 49 |
| 32.21 | 18 |
| 40.74 | 10 |
| 45.48 | 33 |
| 46.91 | 10 |
| 52.54 | 12 |
| 54.42 | 31 |
| 62.69 | 10 |
| 66.28 | 10 |

***

The following is a theoretical X-ray powder pattern of TbCdRe. It was derived from a crystal structure in Alexandria, relaxed with PBE, using λ = 1.5418 Å (Cu Kα).

Cell and atoms:
Cell: 3.151 3.149 13.126 Å, 90.00 90.09 90.00°
Space group P2_1/m (No. 11)
Asymmetric unit:
Tb  0.249  0.250  0.286 (multiplicity 2)
Cd  0.252  0.250  0.912 (multiplicity 2)
Re  0.250  0.250  0.553 (multiplicity 2)

Main lines, sorted by position (10 to 90 degrees two-theta):
| Position (°2θ) | Rel. int. |
| --- | --- |
| 34.15 | 10 |
| 35.10 | 100 |
| 39.66 | 21 |
| 40.49 | 46 |
| 44.95 | 8 |
| 53.99 | 10 |
| 58.61 | 15 |
| 63.98 | 14 |
| 70.18 | 26 |
| 73.09 | 7 |

***

The following is a theoretical X-ray powder pattern of CsTl2BiF6. It was derived from a crystal structure in Alexandria, relaxed with PBE, using λ = 1.5418 Å (Cu Kα).

Cell and atoms:
Cell: 6.698 7.261 11.710 Å, 90.00 123.45 90.00°
Space group P2_1/c (No. 14)
Asymmetric unit:
Cs  0.000  0.000  0.000 (multiplicity 2)
Tl  0.229  0.033  0.735 (multiplicity 4)
Bi  0.500  0.000  0.500 (multiplicity 2)
F  0.164  0.143  0.463 (multiplicity 4)
F  0.270  0.741  0.405 (multiplicity 4)
F  0.421  0.090  0.290 (multiplicity 4)

Main lines, sorted by position (10 to 90 degrees two-theta):
| Position (°2θ) | Rel. int. |
| --- | --- |
| 24.52 | 51 |
| 25.45 | 100 |
| 25.93 | 95 |
| 26.62 | 45 |
| 36.51 | 42 |
| 43.73 | 24 |
| 44.03 | 22 |
| 44.72 | 24 |
| 46.01 | 25 |
| 46.87 | 23 |

***

The following is a theoretical X-ray powder pattern of ReB6N6. It was derived from a crystal structure in Alexandria, relaxed with PBE, using λ = 1.5418 Å (Cu Kα).

Cell and atoms:
Cell: 4.605 4.605 4.605 Å, 90.00 90.00 90.00°
Space group Pm-3 (No. 200)
Asymmetric unit:
Re  0.000  0.000  0.000 (multiplicity 1)
B  0.000  0.240  0.500 (multiplicity 6)
N  0.000  0.500  0.254 (multiplicity 6)

Main lines, sorted by position (10 to 90 degrees two-theta):
| Position (°2θ) | Rel. int. |
| --- | --- |
| 19.28 | 100 |
| 27.39 | 47 |
| 33.71 | 33 |
| 39.13 | 25 |
| 43.97 | 49 |
| 48.42 | 53 |
| 60.30 | 24 |
| 67.46 | 14 |
| 77.57 | 25 |
| 87.31 | 14 |